Structure and calculated powder diffractogram of Cd3H2 (a cell relaxed with PBE; Cu Kα, 1.54184 Å).
No peak broadening, texture or thermal motion is included.

Peak list (10 most intense, 2θ from 10° to 80°, most intense first)
2θ (°), intensity
21.56, 100.0
34.18, 76.3
26.73, 76.0
38.49, 75.2
34.97, 50.2
59.26, 28.4
39.52, 27.8
48.34, 25.9
37.38, 24.8
44.86, 21.9

Atomic structure:
Lattice parameters (Å, degrees): 8.3751 5.3669 9.3614 62.56 34.66 82.77
Fractional positions:
Cd (0.0000, 0.0000, 0.0000)
Cd (0.2500, 0.2500, 0.2500)
Cd (0.2884, 0.5493, 0.8755)
Cd (0.3745, 0.9632, 0.9616)
Cd (0.5493, 0.2884, 0.2868)
Cd (0.9632, 0.3745, 0.7007)
H (0.1189, 0.7920, 0.3899)
H (0.5508, 0.8601, 0.4580)
H (0.7920, 0.1189, 0.6992)
H (0.8601, 0.5508, 0.1311)